Starting from a cell relaxed with PBE+U, the XRD peak list of Cr3FeP6O24 was simulated for a wavelength of 1.5418 Å.

Cell and atoms:
```
data_Cr3FeP6O24
_space_group_name_H-M_alt 'R 3'
_space_group_IT_number 146
_space_group_name_Hall 'R 3'
_cell_length_a 8.5565
_cell_length_b 8.5565
_cell_length_c 21.7621
_cell_angle_alpha 90.00
_cell_angle_beta 90.00
_cell_angle_gamma 120.00
loop_
_atom_site_label
_atom_site_fract_x
_atom_site_fract_y
_atom_site_fract_z
Cr1 0.0000 0.0000 0.0000
Cr2 0.0000 0.0000 0.2154
Cr3 0.0000 0.0000 0.4987
Fe1 0.0000 0.0000 0.7148
P1 0.0047 0.2854 0.1074
P2 0.0492 0.6682 0.2735
O1 0.0017 0.8204 0.2679
O2 0.0139 0.8188 0.5474
O3 0.0432 0.2051 0.0500
O4 0.0521 0.2102 0.7686
O5 0.1481 0.4805 0.8336
O6 0.1604 0.4827 0.1115
O7 0.1713 0.7159 0.3297
O8 0.1765 0.7120 0.6137
```

Principal peaks in the range 2θ from 10° to 90°, in order of falling intensity:
- (2 -1 3), 2θ 24.15, d = 3.685 Å, I = 1000
- (1 0 4), 2θ 20.25, d = 4.385 Å, I = 585
- (0 2 4), 2θ 29.16, d = 3.062 Å, I = 462
- (0 1 2), 2θ 14.46, d = 6.125 Å, I = 419
- (1 1 6), 2θ 32.36, d = 2.767 Å, I = 313
- (1 1 0), 2θ 20.76, d = 4.278 Å, I = 262
- (2 1 1), 2θ 32.22, d = 2.778 Å, I = 154
- (3 0 0), 2θ 36.37, d = 2.470 Å, I = 130
- (2 1 10), 2θ 53.31, d = 1.718 Å, I = 127
- (1 4 0), 2θ 56.95, d = 1.617 Å, I = 126
- (1 2 8), 2θ 46.54, d = 1.951 Å, I = 123
- (2 2 6), 2θ 49.47, d = 1.843 Å, I = 110